[1]
This entry pairs a crystal structure of CoGeN2 with its calculated powder diffractogram. Radiation: a wavelength of 1.5418 Å. Structure: a structure optimized by DFT (PBE).
Lines closer than 0.1° are merged.

Structure:
```
data_CoGeN2
_space_group_name_H-M_alt 'P 63/m m c'
_space_group_IT_number 194
_space_group_name_Hall '-P 6c 2c'
_cell_length_a 2.9125
_cell_length_b 2.9125
_cell_length_c 10.3360
_cell_angle_alpha 90.00
_cell_angle_beta 90.00
_cell_angle_gamma 120.00
loop_
_atom_site_label
_atom_site_type_symbol
_atom_site_fract_x
_atom_site_fract_y
_atom_site_fract_z
_atom_site_occupancy
Co1 Co 0.0000 0.0000 0.0000 1
Ge1 Ge 0.3333 0.6667 0.2500 1
N1 N 0.3333 0.6667 0.6099 1
```

Most intense lines, 2θ from 15° to 90°, most intense first:
| 2θ (°) | I_rel | index |
| --- | --- | --- |
| 39.77 | 100 | 1 0 2 |
| 44.52 | 54 | 1 0 3 |
| 36.68 | 34 | 1 0 1 |
| 34.72 | 33 | 0 0 4 |
| 63.93 | 30 | 1 1 0 |
| 65.63 | 24 | 1 0 6 |
| 74.84 | 21 | 1 1 4 |
| 57.66 | 18 | 1 0 5 |

=====

[2]
This entry pairs a crystal structure of CoGeN2 with its calculated powder diffractogram. Radiation: a wavelength of 1.5418 Å. Structure: a structure optimized by DFT (PBE).
Lines closer than 0.1° are merged.

Structure:
```
data_CoGeN2
_space_group_name_H-M_alt 'P n a 21'
_space_group_IT_number 33
_cell_length_a 5.445
_cell_length_b 6.446
_cell_length_c 5.202
_cell_angle_alpha 90.00
_cell_angle_beta 90.00
_cell_angle_gamma 90.00
loop_
_space_group_symop_operation_xyz
'x,y,z'
'-x,-y,z+1/2'
'-x+1/2,y+1/2,z+1/2'
'x+1/2,-y+1/2,z'
loop_
_atom_site_label
_atom_site_type_symbol
_atom_site_fract_x
_atom_site_fract_y
_atom_site_fract_z
_atom_site_occupancy
Co1 Co 0.083 0.124 0.000 1
Ge1 Ge 0.081 0.625 0.002 1
N1 N 0.070 0.613 0.365 1
N2 N 0.091 0.137 0.390 1
```

Most intense lines, 2θ from 15° to 90°, most intense first:
| 2θ (°) | I_rel | index |
| --- | --- | --- |
| 36.72 | 100 | 1 2 1 |
| 34.48 | 54 | 0 0 2 |
| 37.28 | 46 | 2 0 1 |
| 32.28 | 43 | 1 2 0 |
| 63.25 | 30 | 1 2 3 |
| 58.35 | 28 | 3 2 0 |
| 69.57 | 25 | 3 2 2 |
| 32.90 | 23 | 2 0 0 |

=====

[3]
This entry pairs a crystal structure of Nb9Co4Ge with its calculated powder diffractogram. Radiation: a wavelength of 1.5418 Å. Structure: a structure optimized by DFT (PBE).
Lines closer than 0.1° are merged.

Structure:
```
data_Nb9Co4Ge
_space_group_name_H-M_alt 'I 4/m c m'
_space_group_IT_number 140
_space_group_name_Hall '-I 4 2c'
_cell_length_a 13.208
_cell_length_b 13.208
_cell_length_c 5.061
_cell_angle_alpha 90.00
_cell_angle_beta 90.00
_cell_angle_gamma 90.00
loop_
_atom_site_label
_atom_site_type_symbol
_atom_site_fract_x
_atom_site_fract_y
_atom_site_fract_z
_atom_site_occupancy
Nb1 Nb 0.000 0.500 0.250 1
Nb2 Nb 0.069 0.295 0.000 1
Nb3 Nb 0.087 0.166 0.500 1
Co1 Co 0.133 0.367 0.500 1
Co2 Co 0.250 0.250 0.250 1
Ge1 Ge 0.000 0.000 0.250 1
```

Most intense lines, 2θ from 15° to 90°, most intense first:
| 2θ (°) | I_rel | index |
| --- | --- | --- |
| 38.44 | 100 | 4 3 1 |
| 40.89 | 79 | 5 2 1 |
| 40.55 | 76 | 2 2 2 |
| 43.33 | 71 | 6 2 0 |
| 45.14 | 53 | 4 0 2 |
| 38.56 | 32 | 4 4 0 |
| 35.47 | 28 | 0 0 2 |
| 45.45 | 25 | 6 1 1 |

=====

[4]
This entry pairs a crystal structure of Nd6Co5Ge2 with its calculated powder diffractogram. Radiation: a wavelength of 1.5418 Å. Structure: a structure optimized by DFT (PBE).
Lines closer than 0.1° are merged.

Structure:
```
data_Nd6Co5Ge2
_space_group_name_H-M_alt 'A m m 2'
_space_group_IT_number 38
_cell_length_a 4.156
_cell_length_b 9.263
_cell_length_c 15.266
_cell_angle_alpha 90.00
_cell_angle_beta 90.00
_cell_angle_gamma 90.00
loop_
_space_group_symop_operation_xyz
'x,y,z'
'-x,-y,z'
'-x,y,z'
'x,-y,z'
'x,y+1/2,z+1/2'
'-x,-y+1/2,z+1/2'
'-x,y+1/2,z+1/2'
'x,-y+1/2,z+1/2'
loop_
_atom_site_label
_atom_site_type_symbol
_atom_site_fract_x
_atom_site_fract_y
_atom_site_fract_z
_atom_site_occupancy
Nd1 Nd 0.000 0.000 0.000 1
Nd2 Nd 0.000 0.198 0.800 1
Nd3 Nd 0.500 0.000 0.363 1
Nd4 Nd 0.500 0.235 0.117 1
Co1 Co 0.500 0.000 0.541 1
Co2 Co 0.500 0.000 0.718 1
Co3 Co 0.500 0.000 0.868 1
Co4 Co 0.500 0.221 0.938 1
Ge1 Ge 0.000 0.000 0.205 1
Ge2 Ge 0.000 0.000 0.621 1
```

Most intense lines, 2θ from 15° to 90°, most intense first:
| 2θ (°) | I_rel | index |
| --- | --- | --- |
| 31.20 | 100 | 1 2 2 |
| 40.46 | 53 | 0 2 6 |
| 31.84 | 35 | 1 0 4 |
| 43.56 | 33 | 2 0 0 |
| 37.83 | 30 | 1 1 5 |
| 38.89 | 29 | 0 4 0 |
| 60.94 | 23 | 2 2 6 |
| 37.43 | 20 | 1 2 4 |

=====

[5]
This entry pairs a crystal structure of NdCoGe with its calculated powder diffractogram. Radiation: a wavelength of 1.5418 Å. Structure: a structure optimized by DFT (PBE).
Lines closer than 0.1° are merged.

Structure:
```
data_NdCoGe
_space_group_name_H-M_alt 'P 4/n m m'
_space_group_IT_number 129
_cell_length_a 4.141
_cell_length_b 4.141
_cell_length_c 6.954
_cell_angle_alpha 90.00
_cell_angle_beta 90.00
_cell_angle_gamma 90.00
loop_
_space_group_symop_operation_xyz
'x,y,z'
'-x,-y,-z'
'-y+1/2,x,z'
'y+1/2,-x,-z'
'-x+1/2,-y+1/2,z'
'x+1/2,y+1/2,-z'
'y,-x+1/2,z'
'-y,x+1/2,-z'
'x+1/2,-y,-z'
'-x+1/2,y,z'
'-y,-x,-z'
'y,x,z'
'-x,y+1/2,-z'
'x,-y+1/2,z'
'y+1/2,x+1/2,-z'
'-y+1/2,-x+1/2,z'
loop_
_atom_site_label
_atom_site_type_symbol
_atom_site_fract_x
_atom_site_fract_y
_atom_site_fract_z
_atom_site_occupancy
Nd1 Nd 0.250 0.250 0.192 1
Co1 Co 0.250 0.750 0.500 1
Ge1 Ge 0.250 0.250 0.683 1
```

Most intense lines, 2θ from 15° to 90°, most intense first:
| 2θ (°) | I_rel | index |
| --- | --- | --- |
| 40.27 | 100 | 1 1 2 |
| 33.66 | 80 | 1 0 2 |
| 43.72 | 65 | 2 0 0 |
| 30.53 | 54 | 1 1 0 |
| 56.28 | 36 | 2 1 2 |
| 57.49 | 35 | 1 0 4 |
| 74.92 | 31 | 2 1 4 |
| 25.03 | 31 | 1 0 1 |

=====

[6]
This entry pairs a crystal structure of NdCo2Ge2 with its calculated powder diffractogram. Radiation: a wavelength of 1.5418 Å. Structure: a structure optimized by DFT (PBE).
Lines closer than 0.1° are merged.

Structure:
```
data_NdCo2Ge2
_space_group_name_H-M_alt 'I 4/m m m'
_space_group_IT_number 139
_space_group_name_Hall '-I 4 2'
_cell_length_a 4.023
_cell_length_b 4.023
_cell_length_c 10.323
_cell_angle_alpha 90.00
_cell_angle_beta 90.00
_cell_angle_gamma 90.00
loop_
_atom_site_label
_atom_site_type_symbol
_atom_site_fract_x
_atom_site_fract_y
_atom_site_fract_z
_atom_site_occupancy
Nd1 Nd 0.000 0.000 0.000 1
Co1 Co 0.000 0.500 0.250 1
Ge1 Ge 0.000 0.000 0.368 1
```

Most intense lines, 2θ from 15° to 90°, most intense first:
| 2θ (°) | I_rel | index |
| --- | --- | --- |
| 34.29 | 100 | 1 0 3 |
| 36.05 | 82 | 1 1 2 |
| 45.07 | 58 | 2 0 0 |
| 57.83 | 44 | 2 1 3 |
| 31.45 | 26 | 1 1 0 |
| 49.63 | 26 | 1 0 5 |
| 63.16 | 22 | 1 1 6 |
| 69.27 | 19 | 2 1 5 |